1.
Starting from the PBE geometry in Alexandria, the PXRD pattern of LiTl6Si2O7 was computed for Cu Kα.
No peak broadening, texture or thermal motion is included.

Largest 12 diffraction maxima, by intensity, 15 to 90 degrees two-theta:
- hkl 1 -2 0, d = 3.242 Å, I = 100
- hkl 1 -1 2, d = 3.311 Å, I = 85
- hkl 1 2 -1, d = 3.349 Å, I = 81
- hkl 0 1 2, d = 3.012 Å, I = 75
- hkl 1 2 0, d = 3.030 Å, I = 59
- hkl 0 2 -1, d = 4.416 Å, I = 46
- hkl 0 2 -3, d = 2.937 Å, I = 44
- hkl 2 0 0, d = 2.636 Å, I = 40
- hkl 0 1 -2, d = 4.520 Å, I = 39
- hkl 2 0 -1, d = 2.584 Å, I = 37
- hkl 1 1 -3, d = 2.702 Å, I = 37
- hkl 1 0 -1, d = 4.622 Å, I = 35

Crystal structure
abc: 5.3025 8.8457 9.0819
angles: 118.14 94.54 91.43
Space group P1 (No. 1)
Inequivalent atoms, fractional coordinates:
Li 0.0000 0.0000 0.0000 [1 per cell]
Tl 0.3015 0.6032 0.3595 [1 per cell]
Tl 0.3557 0.0812 0.6486 [1 per cell]
Tl 0.4080 0.7323 0.8520 [1 per cell]
Tl 0.6735 0.2898 0.1164 [1 per cell]
Tl 0.7654 0.8534 0.2486 [1 per cell]
Tl 0.8188 0.3490 0.5459 [1 per cell]
Si 0.2896 0.1284 0.2658 [1 per cell]
Si 0.8195 0.7902 0.6053 [1 per cell]
O 0.3593 0.0346 0.0667 [1 per cell]
O 0.3909 0.0216 0.3630 [1 per cell]
O 0.4272 0.3263 0.3602 [1 per cell]
O 0.8298 0.8418 0.8010 [1 per cell]
O 0.8824 0.9386 0.5557 [1 per cell]
O 0.8898 0.5979 0.4780 [1 per cell]
O 0.9737 0.1285 0.2478 [1 per cell]

***

2.
Starting from the PBE geometry in Alexandria, the PXRD pattern of LiTl6Si2O7 was computed for Cu Kα.
No peak broadening, texture or thermal motion is included.

Largest 12 diffraction maxima, by intensity, 15 to 90 degrees two-theta:
- hkl 1 0 -2, d = 3.143 Å, I = 100
- hkl 2 0 0, d = 2.663 Å, I = 75
- hkl -1 2 1, d = 3.180 Å, I = 74
- hkl 0 2 -1, d = 2.922 Å, I = 74
- hkl 1 0 2, d = 3.257 Å, I = 73
- hkl 1 2 1, d = 3.422 Å, I = 65
- hkl 1 1 0, d = 4.455 Å, I = 55
- hkl 0 2 3, d = 2.869 Å, I = 33
- hkl 2 2 -1, d = 1.993 Å, I = 30
- hkl 1 1 2, d = 3.547 Å, I = 26
- hkl 1 2 3, d = 2.612 Å, I = 25
- hkl 1 3 1, d = 2.523 Å, I = 24

Crystal structure
abc: 5.3427 8.4120 8.9899
angles: 63.02 86.19 85.72
Space group P1 (No. 1)
Inequivalent atoms, fractional coordinates:
Li 0.0000 0.0000 0.0000 [1 per cell]
Tl 0.5029 0.6383 0.6231 [1 per cell]
Tl 0.5147 0.3454 0.1019 [1 per cell]
Tl 0.5535 0.1605 0.7200 [1 per cell]
Tl 0.9045 0.7580 0.8459 [1 per cell]
Tl 0.9761 0.9086 0.3702 [1 per cell]
Tl 0.9927 0.5052 0.3207 [1 per cell]
Si 0.5157 0.7949 0.1487 [1 per cell]
Si 0.9908 0.3909 0.7692 [1 per cell]
O 0.0643 0.5599 0.5944 [1 per cell]
O 0.0914 0.1959 0.7969 [1 per cell]
O 0.2051 0.8163 0.1644 [1 per cell]
O 0.6024 0.6392 0.0865 [1 per cell]
O 0.6418 0.7268 0.3350 [1 per cell]
O 0.6436 0.9828 0.0174 [1 per cell]
O 0.9358 0.4260 0.9305 [1 per cell]